(1)
For Cs8RbNa3, a cell relaxed with GGA-PBE gives the computed X-ray powder pattern in this record (λ = 1.5418 Å (Cu Kα)).

```
data_Cs8RbNa3
_cell_length_a 13.7669
_cell_length_b 13.7669
_cell_length_c 20.8570
_cell_angle_alpha 90.00
_cell_angle_beta 90.00
_cell_angle_gamma 120.00
_symmetry_space_group_name_H-M 'R -3 m'
_symmetry_Int_Tables_number 166
_symmetry_space_group_name_Hall '-R 3 2"'
loop_
_atom_site_label
_atom_site_fract_x
_atom_site_fract_y
_atom_site_fract_z
Cs1 0.0000 0.0000 0.2324
Cs2 0.0446 0.5223 0.2601
Rb1 0.0000 0.0000 0.0000
Na1 0.0000 0.5000 0.5000
```

Most intense lines, 5 to 70 degrees two-theta, low angle first:
d = 5.175 Å, 2θ 17.13, intensity 89, (2 0 2)
d = 4.405 Å, 2θ 20.16, intensity 34, (2 1 1)
d = 3.927 Å, 2θ 22.64, intensity 100, (0 2 4)
d = 3.444 Å, 2θ 25.87, intensity 70, (2 2 0)
d = 2.866 Å, 2θ 31.21, intensity 13, (0 4 2)
d = 2.589 Å, 2θ 34.65, intensity 28, (4 0 4)
d = 2.446 Å, 2θ 36.75, intensity 15, (2 2 6)
d = 2.389 Å, 2θ 37.66, intensity 17, (2 0 8)
d = 2.369 Å, 2θ 37.98, intensity 10, (0 5 1)
d = 2.287 Å, 2θ 39.39, intensity 21, (2 3 5)
d = 2.068 Å, 2θ 43.77, intensity 15, (2 4 4)
d = 1.841 Å, 2θ 49.51, intensity 12, (2 5 3)


(2)
For Ac8NiRh3I3, a cell relaxed with GGA-PBE gives the computed X-ray powder pattern in this record (λ = 1.5418 Å (Cu Kα)).

```
data_Ac8NiRh3I3
_cell_length_a 8.7458
_cell_length_b 8.7458
_cell_length_c 25.8985
_cell_angle_alpha 90.00
_cell_angle_beta 90.00
_cell_angle_gamma 120.00
_symmetry_space_group_name_H-M 'R -3 m'
_symmetry_Int_Tables_number 166
_symmetry_space_group_name_Hall '-R 3 2"'
loop_
_atom_site_label
_atom_site_fract_x
_atom_site_fract_y
_atom_site_fract_z
Ac1 0.0000 0.0000 0.2290
Ac2 0.0013 0.5006 0.2273
Ni1 0.0000 0.0000 0.5000
Rh1 0.0000 0.5000 0.5000
I1 0.0000 0.5000 0.0000
```

Most intense lines, 5 to 70 degrees two-theta, low angle first:
d = 8.633 Å, 2θ 10.25, intensity 31, (0 0 3)
d = 3.635 Å, 2θ 24.49, intensity 22, (2 0 2)
d = 3.269 Å, 2θ 27.28, intensity 100, (0 2 4)
d = 3.057 Å, 2θ 29.21, intensity 21, (2 0 5)
d = 2.878 Å, 2θ 31.08, intensity 13, (0 0 9)
d = 2.646 Å, 2θ 33.87, intensity 24, (0 2 7)
d = 2.461 Å, 2θ 36.51, intensity 21, (2 0 8)
d = 2.186 Å, 2θ 41.29, intensity 42, (2 2 0)
d = 1.999 Å, 2θ 45.36, intensity 16, (2 0 11)
d = 1.817 Å, 2θ 50.20, intensity 19, (4 0 4)
d = 1.741 Å, 2θ 52.57, intensity 19, (2 2 9)
d = 1.398 Å, 2θ 66.95, intensity 16, (2 4 4)


(3)
For K3Tl3IO8, a cell relaxed with GGA-PBE gives the computed X-ray powder pattern in this record (λ = 1.5418 Å (Cu Kα)).

```
data_K3Tl3IO8
_cell_length_a 7.0273
_cell_length_b 7.0273
_cell_length_c 19.0510
_cell_angle_alpha 90.00
_cell_angle_beta 90.00
_cell_angle_gamma 120.00
_symmetry_space_group_name_H-M 'R -3 m'
_symmetry_Int_Tables_number 166
_symmetry_space_group_name_Hall '-R 3 2"'
loop_
_atom_site_label
_atom_site_fract_x
_atom_site_fract_y
_atom_site_fract_z
K1 0.0000 0.5000 0.0000
Tl1 0.0000 0.5000 0.5000
I1 0.0000 0.0000 0.5000
O1 0.0000 0.0000 0.2257
O2 0.0372 0.5186 0.2293
```

Most intense lines, 5 to 70 degrees two-theta, low angle first:
d = 6.350 Å, 2θ 13.95, intensity 100, (0 0 3)
d = 3.175 Å, 2θ 28.10, intensity 26, (0 0 6)
d = 3.005 Å, 2θ 29.73, intensity 40, (0 2 1)
d = 2.899 Å, 2θ 30.85, intensity 56, (2 0 2)
d = 2.564 Å, 2θ 34.99, intensity 71, (0 2 4)
d = 2.378 Å, 2θ 37.84, intensity 17, (2 0 5)
d = 2.029 Å, 2θ 44.67, intensity 20, (0 2 7)
d = 1.875 Å, 2θ 48.55, intensity 25, (2 0 8)
d = 1.757 Å, 2θ 52.06, intensity 22, (2 2 0)
d = 1.693 Å, 2θ 54.17, intensity 19, (2 2 3)
d = 1.615 Å, 2θ 57.04, intensity 13, (0 2 10)
d = 1.537 Å, 2θ 60.20, intensity 20, (2 2 6)


(4)
For Tb6Nd8Sc, a cell relaxed with GGA-PBE gives the computed X-ray powder pattern in this record (λ = 1.5418 Å (Cu Kα)).

```
data_Tb6Nd8Sc
_cell_length_a 9.8950
_cell_length_b 9.8950
_cell_length_c 17.7349
_cell_angle_alpha 90.00
_cell_angle_beta 90.00
_cell_angle_gamma 120.00
_symmetry_space_group_name_H-M 'R -3'
_symmetry_Int_Tables_number 148
_symmetry_space_group_name_Hall '-R 3'
loop_
_atom_site_label
_atom_site_fract_x
_atom_site_fract_y
_atom_site_fract_z
Tb1 0.0381 0.6261 0.3421
Nd1 0.0000 0.0000 0.4102
Nd2 0.0571 0.8211 0.1708
Sc1 0.0000 0.0000 0.0000
```

Most intense lines, 5 to 70 degrees two-theta, low angle first:
d = 3.186 Å, 2θ 28.00, intensity 15, (2 1 1)
d = 3.081 Å, 2θ 28.98, intensity 12, (0 2 4)
d = 3.042 Å, 2θ 29.36, intensity 100, (1 2 2)
d = 2.956 Å, 2θ 30.24, intensity 25, (0 0 6)
d = 2.856 Å, 2θ 31.32, intensity 11, (3 0 0)
d = 2.615 Å, 2θ 34.29, intensity 50, (3 -1 4)
d = 2.572 Å, 2θ 34.88, intensity 28, (3 0 3)
d = 2.537 Å, 2θ 35.37, intensity 26, (2 -1 6)
d = 1.870 Å, 2θ 48.69, intensity 17, (4 1 0)
d = 1.829 Å, 2θ 49.85, intensity 17, (1 2 8)
d = 1.580 Å, 2θ 58.40, intensity 12, (4 1 6)
d = 1.556 Å, 2θ 59.42, intensity 13, (3 -1 10)